No. 1
Structure and theoretical powder diffractogram of TmLu3Tl2C2 (a GGA-PBE-relaxed structure; Cu Kα).
Neutral-atom scattering factors, no anomalous dispersion.

Top 9 peaks for 10 to 80 degrees two-theta, by intensity:
d_spacing  I_rel
2.653  100
1.471  32
3.062  18
1.532  18
1.768  17
2.006  13
1.326  3
1.218  2
1.328  2

Crystal structure
```
data_TmLu3Tl2C2
_chemical_formula_sum 'Tm1 Lu3 Tl2 C2'
_symmetry_space_group_name_H-M 'P 3 m 1'
_symmetry_Int_Tables_number 156
_symmetry_space_group_name_Hall 'P 3 -2"'
_cell_length_a 3.5352
_cell_length_b 3.5352
_cell_length_c 15.9356
_cell_angle_alpha 90.00
_cell_angle_beta 90.00
_cell_angle_gamma 120.00
loop_
_atom_site_label
_atom_site_type_symbol
_atom_site_fract_x
_atom_site_fract_y
_atom_site_fract_z
_atom_site_occupancy
Tm1 Tm 0.0000 0.0000 0.0000 1
Lu1 Lu 0.0000 0.0000 0.6640 1
Lu2 Lu 0.6667 0.3333 0.1651 1
Lu3 Lu 0.6667 0.3333 0.5005 1
Tl1 Tl 0.0000 0.0000 0.3325 1
Tl2 Tl 0.6667 0.3333 0.8318 1
C1 C 0.3333 0.6667 0.0831 1
C2 C 0.3333 0.6667 0.5823 1
```

---

No. 2
Structure and theoretical powder diffractogram of Lu4Zr2Tl3C3 (a GGA-PBE-relaxed structure; Cu Kα).
Neutral-atom scattering factors, no anomalous dispersion.

Top 10 peaks for 10 to 80 degrees two-theta, by intensity:
d_spacing  I_rel
2.603  100
3.012  22
2.587  22
1.739  20
1.446  14
1.445  12
1.496  12
1.964  11
1.442  10
1.499  6

Crystal structure
```
data_Lu4Zr2Tl3C3
_chemical_formula_sum 'Lu16 Zr8 Tl12 C12'
_symmetry_space_group_name_H-M 'C 1 2/c 1'
_symmetry_Int_Tables_number 15
_symmetry_space_group_name_Hall '-C 2yc'
_cell_length_a 10.437
_cell_length_b 6.024
_cell_length_c 15.917
_cell_angle_alpha 90.00
_cell_angle_beta 102.81
_cell_angle_gamma 90.00
loop_
_atom_site_label
_atom_site_type_symbol
_atom_site_fract_x
_atom_site_fract_y
_atom_site_fract_z
_atom_site_occupancy
Lu1 Lu 0.113 0.079 0.086 1
Lu2 Lu 0.219 0.086 0.414 1
Zr1 Zr 0.060 0.414 0.923 1
Tl1 Tl 0.000 0.105 0.750 1
Tl2 Tl 0.155 0.428 0.249 1
C1 C 0.079 0.264 0.500 1
C2 C 0.250 0.250 0.000 1
```

---

No. 3
Structure and theoretical powder diffractogram of Lu2ZnC (a GGA-PBE-relaxed structure; Cu Kα).
Neutral-atom scattering factors, no anomalous dispersion.

Top 10 peaks for 10 to 80 degrees two-theta, by intensity:
d_spacing  I_rel
2.584  100
2.578  51
2.554  37
7.661  35
2.937  33
2.992  26
1.728  24
1.478  17
1.435  13
1.940  13

Crystal structure
```
data_Lu2ZnC
_chemical_formula_sum 'Lu24 Zn12 C12'
_symmetry_space_group_name_H-M 'C 1 2/c 1'
_symmetry_Int_Tables_number 15
_symmetry_space_group_name_Hall '-C 2yc'
_cell_length_a 10.375
_cell_length_b 5.979
_cell_length_c 15.693
_cell_angle_alpha 90.00
_cell_angle_beta 102.48
_cell_angle_gamma 90.00
loop_
_atom_site_label
_atom_site_type_symbol
_atom_site_fract_x
_atom_site_fract_y
_atom_site_fract_z
_atom_site_occupancy
Lu1 Lu 0.053 0.082 0.409 1
Lu2 Lu 0.111 0.416 0.583 1
Lu3 Lu 0.223 0.417 0.917 1
Zn1 Zn 0.000 0.421 0.750 1
Zn2 Zn 0.241 0.158 0.750 1
C1 C 0.081 0.244 0.000 1
C2 C 0.250 0.250 0.500 1
```

---

No. 4
Structure and theoretical powder diffractogram of Lu3ZnC2 (a GGA-PBE-relaxed structure; Cu Kα).
Neutral-atom scattering factors, no anomalous dispersion.

Top 10 peaks for 10 to 80 degrees two-theta, by intensity:
d_spacing  I_rel
2.617  100
3.029  38
1.769  33
2.438  33
1.447  29
2.515  26
2.787  18
1.466  17
1.806  16
1.471  15

Crystal structure
```
data_Lu3ZnC2
_chemical_formula_sum 'Lu6 Zn2 C4'
_symmetry_space_group_name_H-M 'P 63/m m c'
_symmetry_Int_Tables_number 194
_symmetry_space_group_name_Hall '-P 6c 2c'
_cell_length_a 3.5380
_cell_length_b 3.5380
_cell_length_c 20.1163
_cell_angle_alpha 90.00
_cell_angle_beta 90.00
_cell_angle_gamma 120.00
loop_
_atom_site_label
_atom_site_type_symbol
_atom_site_fract_x
_atom_site_fract_y
_atom_site_fract_z
_atom_site_occupancy
Lu1 Lu 0.0000 0.0000 0.0000 1
Lu2 Lu 0.3333 0.6667 0.1317 1
Zn1 Zn 0.0000 0.0000 0.2500 1
C1 C 0.3333 0.6667 0.5758 1
```

---

No. 5
Structure and theoretical powder diffractogram of Ni2Mo4CN (a GGA-PBE-relaxed structure; Cu Kα).
Neutral-atom scattering factors, no anomalous dispersion.

Top 10 peaks for 10 to 80 degrees two-theta, by intensity:
d_spacing  I_rel
2.206  100
2.538  22
1.465  19
2.230  18
1.224  15
1.675  15
1.220  14
1.283  11
1.527  5
3.345  5

Crystal structure
```
data_Ni2Mo4CN
_chemical_formula_sum 'Ni2 Mo4 C1 N1'
_symmetry_space_group_name_H-M 'P -3 m 1'
_symmetry_Int_Tables_number 164
_symmetry_space_group_name_Hall '-P 3 2"'
_cell_length_a 2.9302
_cell_length_b 2.9302
_cell_length_c 13.3805
_cell_angle_alpha 90.00
_cell_angle_beta 90.00
_cell_angle_gamma 120.00
loop_
_atom_site_label
_atom_site_type_symbol
_atom_site_fract_x
_atom_site_fract_y
_atom_site_fract_z
_atom_site_occupancy
Ni1 Ni 0.3333 0.6667 0.2549 1
Mo1 Mo 0.3333 0.6667 0.5909 1
Mo2 Mo 0.3333 0.6667 0.9007 1
C1 C 0.0000 0.0000 0.5000 1
N1 N 0.0000 0.0000 0.0000 1
```

---

No. 6
Structure and theoretical powder diffractogram of Ni2Mo8C3N3 (a GGA-PBE-relaxed structure; Cu Kα).
Neutral-atom scattering factors, no anomalous dispersion.

Top 10 peaks for 10 to 80 degrees two-theta, by intensity:
d_spacing  I_rel
2.172  100
2.290  71
1.532  43
2.403  30
1.251  30
2.268  28
2.583  27
1.269  25
2.635  21
1.628  18

Crystal structure
```
data_Ni2Mo8C3N3
_chemical_formula_sum 'Ni2 Mo8 C3 N3'
_symmetry_space_group_name_H-M 'P -3 m 1'
_symmetry_Int_Tables_number 164
_symmetry_space_group_name_Hall '-P 3 2"'
_cell_length_a 3.0636
_cell_length_b 3.0636
_cell_length_c 22.6838
_cell_angle_alpha 90.00
_cell_angle_beta 90.00
_cell_angle_gamma 120.00
loop_
_atom_site_label
_atom_site_type_symbol
_atom_site_fract_x
_atom_site_fract_y
_atom_site_fract_z
_atom_site_occupancy
Ni1 Ni 0.3333 0.6667 0.2511 1
Mo1 Mo 0.0000 0.0000 0.1610 1
Mo2 Mo 0.0000 0.0000 0.3374 1
Mo3 Mo 0.3333 0.6667 0.0591 1
Mo4 Mo 0.3333 0.6667 0.4442 1
C1 C 0.0000 0.0000 0.0000 1
C2 C 0.3333 0.6667 0.8848 1
N1 N 0.0000 0.0000 0.5000 1
N2 N 0.3333 0.6667 0.6125 1
```